Record 1
The following is a computed powder diffraction line list of La3BeAlS7. It was derived from a DFT-relaxed cell (GGA-PBE, the Materials Project), using copper Kα.
Intensities are scaled so that the largest is 100.

Structure:
a b c (Å): 10.2575 10.2575 5.8741
angles (deg): 90.00 90.00 120.00
Space group P6_3 (No. 173)
Unique sites:
La 0.1302 0.7609 0.0000 (multiplicity 6)
Be 0.0000 0.0000 0.2682 (multiplicity 2)
Al 0.3333 0.6667 0.4190 (multiplicity 2)
S 0.0749 0.8605 0.5160 (multiplicity 6)
S 0.1028 0.5147 0.2724 (multiplicity 6)
S 0.3333 0.6667 0.7942 (multiplicity 2)

Principal peaks in the range 10° ≤ 2θ ≤ 90°, sorted by position:
18.10 deg, I 41, hkl 1 0 1; 23.02 deg, I 47, hkl 1 1 1; 25.14 deg, I 100, hkl 2 0 1; 33.90 deg, I 36, hkl 3 0 1; 39.67 deg, I 64, hkl 1 3 1; 40.82 deg, I 45, hkl 2 1 2



Record 2
The following is a computed powder diffraction line list of MgBeAl4O8. It was derived from a DFT-relaxed cell (GGA-PBE, the Materials Project), using copper Kα.
Intensities are scaled so that the largest is 100.

Structure:
a b c (Å): 5.6626 5.6626 18.3175
angles (deg): 90.00 90.00 120.00
Space group P6_3mc (No. 186)
Unique sites:
Mg 0.0000 0.0000 0.0000 (multiplicity 2)
Mg 0.3333 0.6667 0.2499 (multiplicity 2)
Be 0.3333 0.6667 0.0625 (multiplicity 2)
Be 0.3333 0.6667 0.7991 (multiplicity 2)
Al 0.0000 0.0000 0.2903 (multiplicity 2)
Al 0.0029 0.5015 0.4068 (multiplicity 6)
Al 0.1633 0.3267 0.6579 (multiplicity 6)
Al 0.3333 0.6667 0.5316 (multiplicity 2)
O 0.0000 0.0000 0.1045 (multiplicity 2)
O 0.0130 0.5065 0.5961 (multiplicity 6)
O 0.1474 0.2949 0.2190 (multiplicity 6)
O 0.1802 0.3605 0.8443 (multiplicity 6)
O 0.1841 0.3681 0.4659 (multiplicity 6)
O 0.3333 0.6667 0.3540 (multiplicity 2)
O 0.3333 0.6667 0.7113 (multiplicity 2)
O 0.3333 0.6667 0.9660 (multiplicity 2)

Principal peaks in the range 10° ≤ 2θ ≤ 90°, sorted by position:
20.54 deg, I 43, hkl 1 0 2; 37.34 deg, I 100, hkl 1 1 4; 44.46 deg, I 97, hkl 2 0 5; 47.56 deg, I 60, hkl 2 0 6; 63.38 deg, I 62, hkl 2 0 10; 65.99 deg, I 94, hkl 2 2 0



Record 3
The following is a computed powder diffraction line list of Na3BeAlSi2O8. It was derived from a DFT-relaxed cell (GGA-PBE, the Materials Project), using copper Kα.
Intensities are scaled so that the largest is 100.

Structure:
a b c (Å): 6.9318 7.2600 7.3741
angles (deg): 90.00 90.00 90.00
Space group P2_12_12 (No. 18)
Unique sites:
Na 0.0000 0.0000 0.0334 (multiplicity 2)
Na 0.2470 0.2134 0.6760 (multiplicity 4)
Be 0.0000 0.0000 0.4334 (multiplicity 2)
Al 0.0000 0.5000 0.9668 (multiplicity 2)
Si 0.2355 0.8006 0.7404 (multiplicity 4)
O 0.0447 0.6964 0.8312 (multiplicity 4)
O 0.0841 0.1617 0.2943 (multiplicity 4)
O 0.1715 0.9116 0.5585 (multiplicity 4)
O 0.2028 0.4588 0.1058 (multiplicity 4)

Principal peaks in the range 10° ≤ 2θ ≤ 90°, sorted by position:
21.43 deg, I 100, hkl 1 1 1; 27.39 deg, I 35, hkl 0 2 1; 28.46 deg, I 34, hkl 2 0 1; 31.06 deg, I 62, hkl 2 1 1; 34.68 deg, I 98, hkl 0 2 2; 52.11 deg, I 31, hkl 2 2 3